No. 1
This entry pairs a crystal structure of Li2CrNiO4 with its calculated X-ray diffraction stick pattern. Radiation: Cu Kα (λ = 1.5418 Å). Structure: DFT lattice parameters and positions (PBE+U).

Principal peaks in the range 2θ = 10–80°, by angle:
24.03°, 3.704 Å, I = 98.2, (0 1 1); 24.48°, 3.637 Å, I = 100.0, (1 0 -1); 37.65°, 2.389 Å, I = 37.7, (1 1 0); 38.14°, 2.360 Å, I = 18.3, (0 1 -3); 41.73°, 2.165 Å, I = 54.0, (0 2 -2); 44.21°, 2.049 Å, I = 49.3, (0 1 3); 45.26°, 2.004 Å, I = 45.7, (-2 1 1); 51.18°, 1.785 Å, I = 23.4, (-1 1 4); 51.88°, 1.762 Å, I = 21.0, (-2 2 2); 62.41°, 1.488 Å, I = 27.2, (0 3 1); 63.24°, 1.470 Å, I = 26.0, (2 1 -3); 65.12°, 1.432 Å, I = 25.7, (2 0 2)

Crystal structure
abc: 4.0072 5.1896 7.7843
angles: 93.06 104.91 112.71
Space group P1 (No. 1)
Unique sites:
Li1 0.0000 0.0000 0.0000 (multiplicity 1)
Li2 0.1089 0.8236 0.3938 (multiplicity 1)
Li3 0.4826 0.4416 0.5236 (multiplicity 1)
Li4 0.6131 0.3349 0.8911 (multiplicity 1)
Cr1 0.2416 0.7185 0.7646 (multiplicity 1)
Cr2 0.7363 0.2116 0.2628 (multiplicity 1)
Ni1 0.3661 0.5976 0.1343 (multiplicity 1)
Ni2 0.8664 0.0944 0.6381 (multiplicity 1)
O1 0.1291 0.3777 0.8803 (multiplicity 1)
O2 0.2482 0.2388 0.2567 (multiplicity 1)
O3 0.3538 0.0636 0.6437 (multiplicity 1)
O4 0.4888 0.9578 0.0196 (multiplicity 1)
O5 0.6288 0.8884 0.3683 (multiplicity 1)
O6 0.7490 0.7457 0.7521 (multiplicity 1)
O7 0.8541 0.5525 0.1549 (multiplicity 1)
O8 0.9801 0.4431 0.5169 (multiplicity 1)

No. 2
This entry pairs a crystal structure of LiFeS2O8 with its calculated X-ray diffraction stick pattern. Radiation: Cu Kα (λ = 1.5418 Å). Structure: DFT lattice parameters and positions (PBE+U).

Principal peaks in the range 2θ = 10–80°, by angle:
16.64°, 5.329 Å, I = 100.0, (0 1 1); 21.09°, 4.213 Å, I = 18.3, (1 1 0); 23.42°, 3.798 Å, I = 32.2, (1 0 1); 23.86°, 3.729 Å, I = 97.6, (1 1 -1); 24.73°, 3.600 Å, I = 69.7, (0 2 1); 25.71°, 3.465 Å, I = 80.8, (1 1 1); 30.16°, 2.963 Å, I = 32.5, (1 2 -1); 32.27°, 2.774 Å, I = 30.7, (1 1 -2); 33.64°, 2.664 Å, I = 53.5, (0 2 2); 36.87°, 2.438 Å, I = 43.4, (1 3 0); 38.58°, 2.334 Å, I = 20.5, (2 1 0); 53.43°, 1.715 Å, I = 19.5, (0 0 4)

Crystal structure
abc: 4.8785 8.4561 6.8934
angles: 90.00 95.44 90.00
Space group P2_1 (No. 4)
Unique sites:
Li1 0.2116 0.0000 0.2752 (multiplicity 2)
Fe1 0.2515 0.9771 0.7536 (multiplicity 2)
S1 0.2082 0.2995 0.0117 (multiplicity 2)
S2 0.2919 0.6558 0.4875 (multiplicity 2)
O1 0.0031 0.1028 0.5486 (multiplicity 2)
O2 0.0635 0.3341 0.1901 (multiplicity 2)
O3 0.0797 0.3729 0.8382 (multiplicity 2)
O4 0.2020 0.1215 0.9893 (multiplicity 2)
O5 0.2949 0.8333 0.5120 (multiplicity 2)
O6 0.4229 0.5814 0.6614 (multiplicity 2)
O7 0.4337 0.6199 0.3093 (multiplicity 2)
O8 0.4985 0.8498 0.9471 (multiplicity 2)

No. 3
This entry pairs a crystal structure of LiMnF4 with its calculated X-ray diffraction stick pattern. Radiation: Cu Kα (λ = 1.5418 Å). Structure: DFT lattice parameters and positions (PBE+U).

Principal peaks in the range 2θ = 10–80°, by angle:
17.31°, 5.124 Å, I = 99.9, (2 0 0); 24.25°, 3.670 Å, I = 100.0, (1 1 -1); 29.72°, 3.006 Å, I = 61.6, (1 1 1); 30.17°, 2.962 Å, I = 47.2, (3 1 -1); 32.54°, 2.751 Å, I = 17.6, (0 2 0); 37.09°, 2.424 Å, I = 27.3, (2 2 0); 38.40°, 2.344 Å, I = 38.1, (0 2 1); 40.98°, 2.202 Å, I = 31.1, (4 0 -2); 42.73°, 2.116 Å, I = 29.0, (3 1 1); 46.44°, 1.956 Å, I = 17.5, (4 2 -1); 48.56°, 1.875 Å, I = 18.1, (4 2 0); 50.88°, 1.795 Å, I = 21.3, (2 0 2)

Crystal structure
abc: 11.2790 5.5028 4.9276
angles: 90.00 114.70 90.00
Space group Cc (No. 9)
Unique sites:
Li1 0.0000 0.1805 0.0000 (multiplicity 4)
Mn1 0.2502 0.2468 0.7545 (multiplicity 4)
F1 0.1066 0.1225 0.4401 (multiplicity 4)
F2 0.1481 0.3691 0.9410 (multiplicity 4)
F3 0.3505 0.1089 0.5703 (multiplicity 4)
F4 0.3904 0.3965 0.0635 (multiplicity 4)